Diffraction record for LaCd4Au2. The powder diffractogram is simulated, not measured: it uses a structure optimized by DFT (PBE) and Cu Kα (λ = 1.5418 Å).
Kinematic intensities with the Lorentz-polarization factor, no thermal factor.

Principal peaks in the range 2θ = 10–80°, by intensity:
| 2θ/deg | Rel. int. | (hkl) |
| --- | --- | --- |
| 30.74 | 100 | 2 1 1 |
| 35.74 | 97 | 2 2 1 |
| 38.76 | 52 | 3 1 1 |
| 43.20 | 52 | 4 1 0 |
| 40.83 | 45 | 0 0 2 |
| 60.94 | 37 | 4 1 2 |
| 23.03 | 33 | 2 1 0 |
| 37.28 | 28 | 3 0 1 |
| 77.18 | 24 | 6 3 1 |
| 29.25 | 17 | 2 2 0 |

Structure:
```
14
Lattice="8.6354 0.0000 0.0000 0.0000 8.6354 0.0000 0.0000 0.0000 4.4205" Properties=species:S:1:pos:R:3 pbc="T T T"
La 0.0000 0.0000 0.0000
La 4.3177 4.3177 2.2102
Cd 0.8417 2.9869 2.2102
Cd 1.3308 5.1594 0.0000
Cd 2.9869 0.8417 2.2102
Cd 3.4760 7.3046 0.0000
Cd 5.1594 1.3308 0.0000
Cd 5.6485 7.7937 2.2102
Cd 7.3046 3.4760 0.0000
Cd 7.7937 5.6485 2.2102
Au 1.6134 7.0219 2.2102
Au 2.7042 2.7042 0.0000
Au 5.9311 5.9311 0.0000
Au 7.0219 1.6134 2.2102
```